Diffraction record for SmAgPdRh. The powder XRD pattern is simulated, not measured: it uses the PBE geometry in Alexandria and copper Kα.

Atomic structure:
a b c (Å): 6.708 6.708 6.708
angles (deg): 90.00 90.00 90.00
Fractional coordinates of all 16 atoms:
Sm (0.000, 0.000, 0.000)
Sm (0.000, 0.500, 0.500)
Sm (0.500, 0.000, 0.500)
Sm (0.500, 0.500, 0.000)
Ag (0.000, 0.000, 0.500)
Ag (0.000, 0.500, 0.000)
Ag (0.500, 0.000, 0.000)
Ag (0.500, 0.500, 0.500)
Pd (0.250, 0.250, 0.750)
Pd (0.250, 0.750, 0.250)
Pd (0.750, 0.250, 0.250)
Pd (0.750, 0.750, 0.750)
Rh (0.250, 0.250, 0.250)
Rh (0.250, 0.750, 0.750)
Rh (0.750, 0.250, 0.750)
Rh (0.750, 0.750, 0.250)

Peak list (7 most intense, 10 to 90 degrees two-theta, in order of falling intensity)
(hkl), two_theta, I/Imax
2 2 0, 37.94, 100
4 2 2, 68.53, 34
4 0 0, 54.74, 17
4 4 0, 81.11, 11
1 1 1, 22.97, 1
2 0 0, 26.58, 1
3 1 1, 44.81, 1